No. 1
Starting from a crystal structure in Alexandria, relaxed with PBE, the powder diffraction line list of Sc5Te3 was computed for a wavelength of 1.5418 Å.
Neutral-atom scattering factors, no anomalous dispersion.

The 10 most intense peaks (10° ≤ 2θ ≤ 90°), by angle:
- 20.5 deg, I = 55
- 22.1 deg, I = 56
- 32.1 deg, I = 61
- 33.1 deg, I = 55
- 34.0 deg, I = 50
- 35.1 deg, I = 100
- 37.6 deg, I = 82
- 38.7 deg, I = 91
- 41.4 deg, I = 48
- 41.6 deg, I = 49

Cell and atoms:
```
Sc5Te3
1.0
5.7728 -5.2259 0.0000
5.7728 5.2259 0.0000
-2.4629 0.0000 6.3308
Sc Te
10 6
Cartesian
3.9257 5.0136 4.7481 Sc
2.1041 2.3235 6.2546 Sc
2.4434 0.6789 2.1494 Sc
1.2120 -0.6789 5.3149 Sc
5.7472 2.3235 3.2416 Sc
3.3356 -2.3235 3.0892 Sc
7.8708 0.6789 1.0160 Sc
6.6393 -0.6789 4.1814 Sc
6.9786 -2.3235 0.0762 Sc
5.1571 -5.0136 1.5827 Sc
3.1402 3.4990 2.3237 Te
7.1740 3.4990 0.8417 Te
3.9257 0.3928 4.7481 Te
5.1571 -0.3928 1.5827 Te
1.9088 -3.4990 5.4891 Te
5.9426 -3.4990 4.0072 Te
```

No. 2
Starting from a crystal structure in Alexandria, relaxed with PBE, the powder diffraction line list of Sc6Te7 was computed for a wavelength of 1.5418 Å.
Neutral-atom scattering factors, no anomalous dispersion.

The 10 most intense peaks (10° ≤ 2θ ≤ 90°), by angle:
- 16.0 deg, I = 59
- 17.2 deg, I = 44
- 25.9 deg, I = 32
- 31.9 deg, I = 57
- 32.3 deg, I = 44
- 32.6 deg, I = 58
- 35.0 deg, I = 35
- 37.9 deg, I = 100
- 39.6 deg, I = 47
- 56.6 deg, I = 36

Cell and atoms:
```
Sc6Te7
1.0
3.2515 1.8772 10.3148
-3.2515 1.8772 10.3148
0.0000 -3.7545 10.3148
Sc Te
6 7
Cartesian
0.0000 0.0000 1.6817 Sc
0.0000 0.0000 5.9013 Sc
0.0000 0.0000 10.4040 Sc
0.0000 0.0000 20.5404 Sc
0.0000 0.0000 25.0431 Sc
0.0000 0.0000 29.2626 Sc
-1.6380 -0.9457 12.5197 Te
0.0000 -1.8914 18.4247 Te
-1.6380 0.9457 18.4247 Te
0.0000 0.0000 15.4722 Te
1.6380 -0.9457 12.5196 Te
0.0000 1.8914 12.5196 Te
1.6380 0.9457 18.4247 Te
```

Repeat the second record exactly.
Starting from a crystal structure in Alexandria, relaxed with PBE, the powder diffraction line list of Sc6Te7 was computed for a wavelength of 1.5418 Å.
Neutral-atom scattering factors, no anomalous dispersion.

The 10 most intense peaks (10° ≤ 2θ ≤ 90°), by angle:
- 16.0 deg, I = 59
- 17.2 deg, I = 44
- 25.9 deg, I = 32
- 31.9 deg, I = 57
- 32.3 deg, I = 44
- 32.6 deg, I = 58
- 35.0 deg, I = 35
- 37.9 deg, I = 100
- 39.6 deg, I = 47
- 56.6 deg, I = 36

Cell and atoms:
```
Sc6Te7
1.0
3.2515 1.8772 10.3148
-3.2515 1.8772 10.3148
0.0000 -3.7545 10.3148
Sc Te
6 7
Cartesian
0.0000 0.0000 1.6817 Sc
0.0000 0.0000 5.9013 Sc
0.0000 0.0000 10.4040 Sc
0.0000 0.0000 20.5404 Sc
0.0000 0.0000 25.0431 Sc
0.0000 0.0000 29.2626 Sc
-1.6380 -0.9457 12.5197 Te
0.0000 -1.8914 18.4247 Te
-1.6380 0.9457 18.4247 Te
0.0000 0.0000 15.4722 Te
1.6380 -0.9457 12.5196 Te
0.0000 1.8914 12.5196 Te
1.6380 0.9457 18.4247 Te
```